Computed PXRD pattern of PrNd4H8 for λ = 1.5418 Å (Cu Kα), from a structure optimized by DFT (PBE).

Main lines, sorted by position (15° ≤ 2θ ≤ 90°):
| hkl | 2θ (°) | I/Imax |
| --- | --- | --- |
| 1 1 0 | 21.2 | 19 |
| 1 1 1 | 26.1 | 74 |
| 2 0 0 | 30.2 | 100 |
| 2 2 0 | 43.2 | 80 |
| 3 1 1 | 51.2 | 35 |
| 2 2 2 | 53.7 | 27 |
| 4 0 0 | 62.8 | 13 |
| 3 3 1 | 69.2 | 14 |
| 4 2 0 | 71.3 | 35 |
| 4 2 2 | 79.3 | 27 |

Crystal structure
Cell: 5.917 5.917 5.917 Å, 90.00 90.00 90.00°
Fractional positions:
Pr1 0.000 0.000 0.000
Nd1 0.000 0.000 0.500
Nd2 0.000 0.500 0.000
Nd3 0.500 0.000 0.000
Nd4 0.500 0.500 0.500
H1 0.243 0.243 0.243
H2 0.243 0.243 0.757
H3 0.243 0.757 0.243
H4 0.243 0.757 0.757
H5 0.757 0.243 0.243
H6 0.757 0.243 0.757
H7 0.757 0.757 0.243
H8 0.757 0.757 0.757